Simulated powder diffraction line list
Compound: Na3SbO3
Radiation: λ = 1.5418 Å (Cu Kα)
Structure: a cell relaxed with GGA-PBE
No peak broadening, texture or thermal motion is included.

Cell and atoms:
```
28
Lattice="-4.814 4.814 4.814 4.814 -4.814 4.814 4.814 4.814 -4.814" Properties=species:S:1:pos:R:3 pbc="T T T"
Na 3.820 1.175 -1.175
Na 3.820 -1.175 1.175
Na 5.808 1.175 1.175
Na 1.175 3.820 -1.175
Na 1.175 -1.175 3.820
Na 3.639 3.639 0.994
Na 3.639 0.994 3.639
Na -1.175 3.820 1.175
Na -1.175 1.175 3.820
Na 1.175 5.808 1.175
Na 1.175 1.175 5.808
Na 0.994 3.639 3.639
Sb 3.417 3.417 -3.417
Sb 3.417 -3.417 3.417
Sb 1.397 1.397 1.397
Sb -3.417 3.417 3.417
O 1.440 6.063 3.565
O 1.440 3.565 6.063
O 3.565 3.565 -1.440
O 3.565 -1.440 3.565
O 3.374 1.249 1.249
O 1.249 3.374 1.249
O 1.249 1.249 3.374
O 1.249 6.254 -1.249
O 1.249 -1.249 6.254
O -1.440 3.565 3.565
O 3.565 1.440 6.063
O 3.565 6.063 1.440
```

Largest 10 diffraction maxima, sorted by position, 2θ = 10–90°:
d_spacing	I/Imax
6.808	16
3.931	100
3.045	22
2.779	40
2.407	56
2.269	19
1.758	37
1.702	29
1.452	11
1.310	15